# Li2HfMnSe4
Simulated powder XRD pattern, a wavelength of 1.5418 Å. Input: the PBE geometry in Alexandria.

Atomic structure:
Cell: 6.676 3.821 6.783 Å, 90.00 109.29 90.00°
Fractional coordinates of all 8 atoms:
Li (0.000, 0.000, 0.000)
Li (0.500, 0.500, 0.000)
Hf (0.000, 0.500, 0.500)
Mn (0.500, 0.000, 0.500)
Se (0.242, 0.000, 0.746)
Se (0.254, 0.500, 0.265)
Se (0.746, 0.500, 0.735)
Se (0.758, 0.000, 0.254)

Principal peaks in the range 15 to 90 degrees two-theta, in order of rising 2θ:
| two_theta | Rel. int. | (hkl) |
| --- | --- | --- |
| 16.15 | 12 | 1 0 -1 |
| 27.13 | 22 | 2 0 -1 |
| 27.29 | 23 | 1 1 0 |
| 32.64 | 51 | 2 0 -2 |
| 32.84 | 100 | 1 1 1 |
| 35.73 | 14 | 1 1 -2 |
| 46.67 | 55 | 1 1 -3 |
| 47.27 | 36 | 3 1 -1 |
| 47.59 | 18 | 0 2 0 |
| 58.90 | 18 | 2 2 -2 |